Record 1
Starting from a structure optimized by DFT (GGA-PBE), the PXRD pattern of K3HPtS2Cl2O6 was computed for CuKα.

Top 6 peaks for 10 to 80 degrees two-theta, by angle:
Position (°2θ), Rel. int.
11.6, 37
16.0, 100
16.6, 28
23.0, 20
28.7, 26
33.2, 28

Structure:
a b c (Å): 9.324 9.324 7.150
angles (deg): 90.00 90.00 69.69
Positions (direct):
1 K 0.123 0.877 0.500
2 K 0.140 0.420 0.318
3 K 0.420 0.140 0.818
4 K 0.580 0.860 0.318
5 K 0.860 0.580 0.818
6 K 0.877 0.123 0.000
7 H 0.485 0.515 0.751
8 H 0.515 0.485 0.251
9 Pt 0.245 0.755 0.967
10 Pt 0.755 0.245 0.467
11 S 0.239 0.543 0.815
12 S 0.457 0.761 0.815
13 S 0.543 0.239 0.315
14 S 0.761 0.457 0.315
15 Cl 0.010 0.771 0.122
16 Cl 0.229 0.990 0.122
17 Cl 0.771 0.010 0.622
18 Cl 0.990 0.229 0.622
19 O 0.142 0.596 0.645
20 O 0.180 0.443 0.929
21 O 0.401 0.442 0.754
22 O 0.404 0.858 0.645
23 O 0.442 0.401 0.254
24 O 0.443 0.180 0.429
25 O 0.557 0.820 0.929
26 O 0.558 0.599 0.754
27 O 0.596 0.142 0.145
28 O 0.599 0.558 0.254
29 O 0.820 0.557 0.429
30 O 0.858 0.404 0.145

Record 2
Starting from a structure optimized by DFT (GGA-PBE), the PXRD pattern of La3AgSnS7 was computed for CuKα.

Top 6 peaks for 10 to 80 degrees two-theta, by angle:
Position (°2θ), Rel. int.
24.5, 100
29.4, 27
34.2, 68
35.6, 58
39.7, 44
45.8, 38

Structure:
a b c (Å): 10.477 10.477 6.071
angles (deg): 90.00 90.00 120.00
Positions (direct):
1 La 0.132 0.359 0.000
2 La 0.227 0.868 0.000
3 La 0.359 0.227 0.500
4 La 0.641 0.773 0.000
5 La 0.773 0.132 0.500
6 La 0.868 0.641 0.500
7 Ag 0.000 0.000 0.421
8 Ag 0.000 0.000 0.921
9 Sn 0.333 0.667 0.576
10 Sn 0.667 0.333 0.076
11 S 0.094 0.578 0.746
12 S 0.101 0.268 0.473
13 S 0.166 0.899 0.473
14 S 0.268 0.166 0.973
15 S 0.333 0.667 0.184
16 S 0.422 0.516 0.746
17 S 0.484 0.906 0.746
18 S 0.516 0.094 0.246
19 S 0.578 0.484 0.246
20 S 0.667 0.333 0.684
21 S 0.732 0.834 0.473
22 S 0.834 0.101 0.973
23 S 0.899 0.732 0.973
24 S 0.906 0.422 0.246

Record 3
Starting from a structure optimized by DFT (GGA-PBE), the PXRD pattern of TaNbTe4 was computed for CuKα.

Top 6 peaks for 10 to 80 degrees two-theta, by angle:
Position (°2θ), Rel. int.
19.2, 21
30.2, 100
32.9, 44
34.8, 31
41.0, 24
50.7, 16

Structure:
a b c (Å): 7.355 7.791 9.919
angles (deg): 110.34 100.70 103.48
Positions (direct):
1 Ta 0.000 0.000 0.000
2 Ta 0.174 0.275 0.711
3 Ta 0.673 0.275 0.711
4 Nb 0.348 0.549 0.423
5 Nb 0.500 0.001 0.999
6 Nb 0.848 0.549 0.423
7 Te 0.024 0.286 0.405
8 Te 0.129 0.863 0.328
9 Te 0.218 0.689 0.094
10 Te 0.322 0.263 0.018
11 Te 0.358 0.984 0.723
12 Te 0.490 0.566 0.699
13 Te 0.525 0.286 0.405
14 Te 0.629 0.862 0.328
15 Te 0.719 0.689 0.094
16 Te 0.824 0.263 0.018
17 Te 0.858 0.982 0.725
18 Te 0.990 0.566 0.699

Record 4
Starting from a structure optimized by DFT (GGA-PBE), the PXRD pattern of Er5Si3 was computed for CuKα.

Top 6 peaks for 10 to 80 degrees two-theta, by angle:
Position (°2θ), Rel. int.
24.6, 19
25.6, 26
31.0, 28
32.7, 28
35.8, 100
37.3, 20

Structure:
a b c (Å): 8.357 8.357 6.282
angles (deg): 90.00 90.00 120.00
Positions (direct):
1 Er 0.000 0.243 0.250
2 Er 0.000 0.757 0.750
3 Er 0.243 0.000 0.250
4 Er 0.243 0.243 0.750
5 Er 0.333 0.667 0.000
6 Er 0.333 0.667 0.500
7 Er 0.667 0.333 0.000
8 Er 0.667 0.333 0.500
9 Er 0.757 0.000 0.750
10 Er 0.757 0.757 0.250
11 Si 0.000 0.395 0.750
12 Si 0.000 0.605 0.250
13 Si 0.395 0.000 0.750
14 Si 0.395 0.395 0.250
15 Si 0.605 0.000 0.250
16 Si 0.605 0.605 0.750

Record 5
Starting from a structure optimized by DFT (GGA-PBE), the PXRD pattern of BaBiO3 was computed for CuKα.

Top 6 peaks for 10 to 80 degrees two-theta, by angle:
Position (°2θ), Rel. int.
15.8, 37
24.7, 55
27.2, 27
27.6, 100
30.9, 26
33.1, 30

Structure:
a b c (Å): 4.244 6.679 7.876
angles (deg): 74.84 74.57 86.41
Positions (direct):
1 Ba 0.000 0.000 0.000
2 Ba 0.194 0.380 0.336
3 Bi 0.564 0.867 0.495
4 Bi 0.911 0.568 0.790
5 O 0.110 0.969 0.641
6 O 0.223 0.391 0.973
7 O 0.416 0.789 0.258
8 O 0.530 0.301 0.871
9 O 0.713 0.652 0.248
10 O 0.727 0.144 0.306